# HoCd4Pt2
Calculated powder XRD pattern, Cu Kα (λ = 1.5418 Å). Input: a crystal structure in Alexandria, relaxed with GGA-PBE.
Neutral-atom scattering factors, no anomalous dispersion.

The 8 most intense peaks (10 to 90 degrees two-theta), low angle first:
30.74°, d = 2.909 Å, intensity 19, (0 4 1)
31.95°, d = 2.802 Å, intensity 35, (1 1 1)
34.87°, d = 2.573 Å, intensity 100, (1 3 1)
40.18°, d = 2.244 Å, intensity 63, (1 7 0)
41.81°, d = 2.160 Å, intensity 31, (2 0 0)
48.45°, d = 1.879 Å, intensity 20, (0 0 2)
64.71°, d = 1.441 Å, intensity 20, (1 7 2)
65.88°, d = 1.418 Å, intensity 18, (2 0 2)

Structure:
```
data_HoCd4Pt2
_cell_length_a 4.321
_cell_length_b 18.381
_cell_length_c 3.758
_cell_angle_alpha 90.00
_cell_angle_beta 90.00
_cell_angle_gamma 90.00
_space_group_name_H-M_alt 'P 1'
_space_group_IT_number 1
_space_group_name_Hall 'P 1'
loop_
_atom_site_label
_atom_site_type_symbol
_atom_site_fract_x
_atom_site_fract_y
_atom_site_fract_z
Ho1 Ho 0.000 0.000 0.000
Ho2 Ho 0.500 0.500 0.000
Cd1 Cd 0.000 0.167 0.500
Cd2 Cd 0.000 0.311 0.000
Cd3 Cd 0.000 0.689 0.000
Cd4 Cd 0.000 0.833 0.500
Cd5 Cd 0.500 0.189 0.000
Cd6 Cd 0.500 0.333 0.500
Cd7 Cd 0.500 0.667 0.500
Cd8 Cd 0.500 0.811 0.000
Pt1 Pt 0.000 0.430 0.500
Pt2 Pt 0.000 0.570 0.500
Pt3 Pt 0.500 0.070 0.500
Pt4 Pt 0.500 0.930 0.500
```